This entry pairs a crystal structure of BaNd4Tl3O12 with its theoretical X-ray diffraction stick pattern. Radiation: λ = 1.5418 Å (Cu Kα). Structure: DFT lattice parameters and positions (PBE).
Lines closer than 0.1° are merged.

Top 10 peaks for 2θ = 10–80°, by angle:
d = 6.213 Å, 2θ = 14.3°, I 2, hkl 1 1 0; d = 4.393 Å, 2θ = 20.2°, I 1, hkl 2 0 0; d = 3.587 Å, 2θ = 24.8°, I 2, hkl 2 1 1; d = 3.107 Å, 2θ = 28.7°, I 100, hkl 2 2 0; d = 2.537 Å, 2θ = 35.4°, I 1, hkl 2 2 2; d = 2.197 Å, 2θ = 41.1°, I 22, hkl 4 0 0; d = 1.794 Å, 2θ = 50.9°, I 48, hkl 4 2 2; d = 1.553 Å, 2θ = 59.5°, I 14, hkl 4 4 0; d = 1.389 Å, 2θ = 67.4°, I 19, hkl 6 0 2; d = 1.268 Å, 2θ = 74.9°, I 5, hkl 4 4 4

Structure:
```
data_BaNd4Tl3O12
_chemical_formula_sum 'Ba2 Nd8 Tl6 O24'
_symmetry_space_group_name_H-M 'I m -3'
_symmetry_Int_Tables_number 204
_symmetry_space_group_name_Hall '-I 2 2 3'
_cell_length_a 8.787
_cell_length_b 8.787
_cell_length_c 8.787
_cell_angle_alpha 90.00
_cell_angle_beta 90.00
_cell_angle_gamma 90.00
loop_
_atom_site_label
_atom_site_type_symbol
_atom_site_fract_x
_atom_site_fract_y
_atom_site_fract_z
_atom_site_occupancy
Ba1 Ba 0.000 0.000 0.000 1
Nd1 Nd 0.250 0.250 0.250 1
Tl1 Tl 0.000 0.000 0.500 1
O1 O 0.000 0.165 0.312 1
```